Theoretical powder diffraction line list
Compound: Li2ErMg2Cd2
Radiation: copper Kα
Structure: a structure optimized by DFT (PBE)
Kinematic intensities with the Lorentz-polarization factor, no thermal factor.

Peak list (10 most intense, 2θ from 10° to 80°, low angle first)
- 2θ = 12.24°, rel. 42.1
- 2θ = 22.58°, rel. 100.0
- 2θ = 22.88°, rel. 52.9
- 2θ = 29.43°, rel. 95.2
- 2θ = 29.89°, rel. 44.0
- 2θ = 35.74°, rel. 42.3
- 2θ = 36.13°, rel. 85.1
- 2θ = 36.89°, rel. 45.2
- 2θ = 37.10°, rel. 88.8
- 2θ = 52.31°, rel. 27.9

Structural model:
```
data_Li2ErMg2Cd2
_space_group_name_H-M_alt 'P 1'
_space_group_IT_number 1
_cell_length_a 4.8471
_cell_length_b 4.8471
_cell_length_c 7.7978
_cell_angle_alpha 108.86
_cell_angle_beta 108.86
_cell_angle_gamma 60.35
loop_
_space_group_symop_operation_xyz
'x,y,z'
loop_
_atom_site_label
_atom_site_type_symbol
_atom_site_fract_x
_atom_site_fract_y
_atom_site_fract_z
Li1 Li 0.2266 0.2266 0.1733
Li2 Li 0.7734 0.7734 0.8267
Er1 Er 0.5000 0.5000 0.0000
Mg1 Mg 0.3547 0.3547 0.5690
Mg2 Mg 0.6453 0.6453 0.4310
Cd1 Cd 0.0791 0.0791 0.7481
Cd2 Cd 0.9209 0.9209 0.2519
```

Theoretical powder diffraction line list
Compound: ErMg5Cd2
Radiation: copper Kα
Structure: a structure optimized by DFT (PBE)
Kinematic intensities with the Lorentz-polarization factor, no thermal factor.

Peak list (10 most intense, 2θ from 10° to 80°, low angle first)
- 2θ = 12.02°, rel. 69.5
- 2θ = 18.62°, rel. 73.3
- 2θ = 30.87°, rel. 20.7
- 2θ = 32.19°, rel. 100.0
- 2θ = 33.53°, rel. 40.6
- 2θ = 35.40°, rel. 26.6
- 2θ = 36.30°, rel. 70.9
- 2θ = 37.76°, rel. 30.7
- 2θ = 42.13°, rel. 49.0
- 2θ = 67.35°, rel. 22.1

Structural model:
```
data_ErMg5Cd2
_space_group_name_H-M_alt 'P 1'
_space_group_IT_number 1
_cell_length_a 7.6868
_cell_length_b 7.6868
_cell_length_c 7.6868
_cell_angle_alpha 154.74
_cell_angle_beta 103.38
_cell_angle_gamma 82.20
loop_
_space_group_symop_operation_xyz
'x,y,z'
loop_
_atom_site_label
_atom_site_type_symbol
_atom_site_fract_x
_atom_site_fract_y
_atom_site_fract_z
Er1 Er 0.0000 0.0000 0.0000
Mg1 Mg 0.1413 0.3671 0.7741
Mg2 Mg 0.4070 0.6329 0.7741
Mg3 Mg 0.5000 0.0000 0.5000
Mg4 Mg 0.5930 0.3671 0.2259
Mg5 Mg 0.8587 0.6329 0.2259
Cd1 Cd 0.2429 0.7429 0.5000
Cd2 Cd 0.7571 0.2571 0.5000
```

Theoretical powder diffraction line list
Compound: ErMgCd5
Radiation: copper Kα
Structure: a structure optimized by DFT (PBE)
Kinematic intensities with the Lorentz-polarization factor, no thermal factor.

Peak list (10 most intense, 2θ from 10° to 80°, low angle first)
- 2θ = 10.02°, rel. 32.0
- 2θ = 30.08°, rel. 25.1
- 2θ = 30.37°, rel. 11.1
- 2θ = 34.96°, rel. 100.0
- 2θ = 40.44°, rel. 34.4
- 2θ = 40.89°, rel. 14.5
- 2θ = 51.40°, rel. 10.0
- 2θ = 58.52°, rel. 11.2
- 2θ = 58.86°, rel. 19.1
- 2θ = 70.01°, rel. 24.9

Structural model:
```
data_ErMgCd5
_space_group_name_H-M_alt 'P 1'
_space_group_IT_number 1
_cell_length_a 4.4613
_cell_length_b 4.4613
_cell_length_c 8.8286
_cell_angle_alpha 90.00
_cell_angle_beta 90.00
_cell_angle_gamma 90.00
loop_
_space_group_symop_operation_xyz
'x,y,z'
loop_
_atom_site_label
_atom_site_type_symbol
_atom_site_fract_x
_atom_site_fract_y
_atom_site_fract_z
Er1 Er 0.0000 0.0000 0.0000
Mg1 Mg 0.5000 0.5000 0.5000
Cd1 Cd 0.0000 0.5000 0.2690
Cd2 Cd 0.0000 0.5000 0.7310
Cd3 Cd 0.5000 0.0000 0.2690
Cd4 Cd 0.5000 0.0000 0.7310
Cd5 Cd 0.5000 0.5000 0.0000
```

Theoretical powder diffraction line list
Compound: Er3Mg4Cd4
Radiation: copper Kα
Structure: a structure optimized by DFT (PBE)
Kinematic intensities with the Lorentz-polarization factor, no thermal factor.

Peak list (10 most intense, 2θ from 10° to 80°, low angle first)
- 2θ = 17.07°, rel. 45.8
- 2θ = 22.83°, rel. 41.8
- 2θ = 32.33°, rel. 64.4
- 2θ = 33.11°, rel. 61.2
- 2θ = 33.88°, rel. 100.0
- 2θ = 36.01°, rel. 53.6
- 2θ = 36.47°, rel. 100.0
- 2θ = 49.72°, rel. 38.8
- 2θ = 63.05°, rel. 19.4
- 2θ = 66.76°, rel. 33.0

Structural model:
```
data_Er3Mg4Cd4
_space_group_name_H-M_alt 'P 1'
_space_group_IT_number 1
_cell_length_a 3.4071
_cell_length_b 4.9880
_cell_length_c 15.8688
_cell_angle_alpha 99.00
_cell_angle_beta 96.14
_cell_angle_gamma 90.00
loop_
_space_group_symop_operation_xyz
'x,y,z'
loop_
_atom_site_label
_atom_site_type_symbol
_atom_site_fract_x
_atom_site_fract_y
_atom_site_fract_z
Er1 Er 0.0000 0.0000 0.0000
Er2 Er 0.1409 0.6401 0.2809
Er3 Er 0.8591 0.3599 0.7191
Mg1 Mg 0.2642 0.2644 0.5287
Mg2 Mg 0.4068 0.9079 0.8160
Mg3 Mg 0.5932 0.0921 0.1840
Mg4 Mg 0.7358 0.7356 0.4713
Cd1 Cd 0.3164 0.8170 0.6335
Cd2 Cd 0.4532 0.4529 0.9057
Cd3 Cd 0.5468 0.5471 0.0943
Cd4 Cd 0.6836 0.1830 0.3665
```

Theoretical powder diffraction line list
Compound: Er2Mg3Cd3
Radiation: copper Kα
Structure: a structure optimized by DFT (PBE)
Kinematic intensities with the Lorentz-polarization factor, no thermal factor.

Peak list (10 most intense, 2θ from 10° to 80°, low angle first)
- 2θ = 10.65°, rel. 3.7
- 2θ = 21.41°, rel. 35.5
- 2θ = 35.32°, rel. 100.0
- 2θ = 41.68°, rel. 19.0
- 2θ = 50.81°, rel. 17.3
- 2θ = 55.75°, rel. 8.1
- 2θ = 63.38°, rel. 25.7
- 2θ = 63.44°, rel. 8.9
- 2θ = 67.72°, rel. 3.6
- 2θ = 74.71°, rel. 10.5

Structural model:
```
data_Er2Mg3Cd3
_space_group_name_H-M_alt 'P 1'
_space_group_IT_number 1
_cell_length_a 8.8114
_cell_length_b 8.8114
_cell_length_c 8.8114
_cell_angle_alpha 33.51
_cell_angle_beta 33.51
_cell_angle_gamma 33.51
loop_
_space_group_symop_operation_xyz
'x,y,z'
loop_
_atom_site_label
_atom_site_type_symbol
_atom_site_fract_x
_atom_site_fract_y
_atom_site_fract_z
Er1 Er 0.0000 0.0000 0.0000
Er2 Er 0.4945 0.4945 0.4945
Mg1 Mg 0.2484 0.2484 0.2484
Mg2 Mg 0.7467 0.7467 0.7467
Mg3 Mg 0.8733 0.8733 0.8733
Cd1 Cd 0.1257 0.1257 0.1257
Cd2 Cd 0.3715 0.3715 0.3715
Cd3 Cd 0.6187 0.6187 0.6187
```

Theoretical powder diffraction line list
Compound: Er5MgCd2
Radiation: copper Kα
Structure: a structure optimized by DFT (PBE)
Kinematic intensities with the Lorentz-polarization factor, no thermal factor.

Peak list (10 most intense, 2θ from 10° to 80°, low angle first)
- 2θ = 29.83°, rel. 100.0
- 2θ = 30.93°, rel. 34.7
- 2θ = 32.40°, rel. 83.7
- 2θ = 34.17°, rel. 79.3
- 2θ = 34.72°, rel. 25.7
- 2θ = 36.33°, rel. 21.1
- 2θ = 36.88°, rel. 33.8
- 2θ = 37.27°, rel. 53.0
- 2θ = 53.44°, rel. 23.2
- 2θ = 60.77°, rel. 24.8

Structural model:
```
data_Er5MgCd2
_space_group_name_H-M_alt 'P 1'
_space_group_IT_number 1
_cell_length_a 6.0569
_cell_length_b 6.0569
_cell_length_c 16.2735
_cell_angle_alpha 90.00
_cell_angle_beta 90.00
_cell_angle_gamma 133.06
loop_
_space_group_symop_operation_xyz
'x,y,z'
loop_
_atom_site_label
_atom_site_type_symbol
_atom_site_fract_x
_atom_site_fract_y
_atom_site_fract_z
Er1 Er 0.0071 0.9929 0.7500
Er2 Er 0.1504 0.8496 0.5343
Er3 Er 0.1504 0.8496 0.9657
Er4 Er 0.4582 0.5418 0.5987
Er5 Er 0.4582 0.5418 0.9013
Er6 Er 0.5418 0.4582 0.0987
Er7 Er 0.5418 0.4582 0.4013
Er8 Er 0.8496 0.1504 0.0343
Er9 Er 0.8496 0.1504 0.4657
Er10 Er 0.9929 0.0071 0.2500
Mg1 Mg 0.2880 0.7120 0.7500
Mg2 Mg 0.7120 0.2880 0.2500
Cd1 Cd 0.2642 0.7358 0.1520
Cd2 Cd 0.2642 0.7358 0.3480
Cd3 Cd 0.7358 0.2642 0.6520
Cd4 Cd 0.7358 0.2642 0.8480
```

Theoretical powder diffraction line list
Compound: ErMgCd11
Radiation: copper Kα
Structure: a structure optimized by DFT (PBE)
Kinematic intensities with the Lorentz-polarization factor, no thermal factor.

Peak list (10 most intense, 2θ from 10° to 80°, low angle first)
- 2θ = 29.85°, rel. 23.3
- 2θ = 30.94°, rel. 49.1
- 2θ = 35.04°, rel. 61.1
- 2θ = 36.00°, rel. 100.0
- 2θ = 36.31°, rel. 49.2
- 2θ = 39.62°, rel. 49.7
- 2θ = 40.48°, rel. 18.7
- 2θ = 40.77°, rel. 21.8
- 2θ = 57.04°, rel. 19.9
- 2θ = 65.12°, rel. 22.4

Structural model:
```
data_ErMgCd11
_space_group_name_H-M_alt 'P 1'
_space_group_IT_number 1
_cell_length_a 7.6110
_cell_length_b 7.6110
_cell_length_c 7.6059
_cell_angle_alpha 98.85
_cell_angle_beta 98.85
_cell_angle_gamma 133.69
loop_
_space_group_symop_operation_xyz
'x,y,z'
loop_
_atom_site_label
_atom_site_type_symbol
_atom_site_fract_x
_atom_site_fract_y
_atom_site_fract_z
Er1 Er 0.0000 0.0000 0.0000
Mg1 Mg 0.0000 0.0000 0.5000
Cd1 Cd 0.0000 0.5000 0.0000
Cd2 Cd 0.0018 0.6552 0.6505
Cd3 Cd 0.2803 0.4919 0.7864
Cd4 Cd 0.3448 0.9982 0.3495
Cd5 Cd 0.4919 0.2803 0.7864
Cd6 Cd 0.5000 0.0000 0.0000
Cd7 Cd 0.5000 0.5000 0.5000
Cd8 Cd 0.5081 0.7197 0.2136
Cd9 Cd 0.6552 0.0018 0.6505
Cd10 Cd 0.7197 0.5081 0.2136
Cd11 Cd 0.9982 0.3448 0.3495
```

Theoretical powder diffraction line list
Compound: Er3Mg3Cd
Radiation: copper Kα
Structure: a structure optimized by DFT (PBE)
Kinematic intensities with the Lorentz-polarization factor, no thermal factor.

Peak list (10 most intense, 2θ from 10° to 80°, low angle first)
- 2θ = 11.79°, rel. 25.6
- 2θ = 16.58°, rel. 22.5
- 2θ = 23.71°, rel. 32.3
- 2θ = 28.70°, rel. 15.6
- 2θ = 33.52°, rel. 29.3
- 2θ = 34.04°, rel. 26.0
- 2θ = 35.53°, rel. 100.0
- 2θ = 48.53°, rel. 18.0
- 2θ = 61.24°, rel. 18.4
- 2θ = 61.90°, rel. 16.9

Structural model:
```
data_Er3Mg3Cd
_space_group_name_H-M_alt 'P 1'
_space_group_IT_number 1
_cell_length_a 7.5051
_cell_length_b 7.5051
_cell_length_c 6.8356
_cell_angle_alpha 90.03
_cell_angle_beta 90.03
_cell_angle_gamma 89.15
loop_
_space_group_symop_operation_xyz
'x,y,z'
loop_
_atom_site_label
_atom_site_type_symbol
_atom_site_fract_x
_atom_site_fract_y
_atom_site_fract_z
Er1 Er 0.0001 0.0001 0.2495
Er2 Er 0.9999 0.9999 0.7505
Er3 Er 0.0011 0.4989 0.7462
Er4 Er 0.4989 0.0011 0.7462
Er5 Er 0.5011 0.9989 0.2538
Er6 Er 0.9989 0.5011 0.2538
Mg1 Mg 0.2821 0.7179 0.0000
Mg2 Mg 0.2910 0.2910 0.0029
Mg3 Mg 0.3305 0.6695 0.5000
Mg4 Mg 0.6695 0.3305 0.5000
Mg5 Mg 0.7090 0.7090 0.9971
Mg6 Mg 0.7179 0.2821 0.0000
Cd1 Cd 0.2633 0.2633 0.4985
Cd2 Cd 0.7367 0.7367 0.5015
```

Theoretical powder diffraction line list
Compound: Er3MgCd3
Radiation: copper Kα
Structure: a structure optimized by DFT (PBE)
Kinematic intensities with the Lorentz-polarization factor, no thermal factor.

Peak list (10 most intense, 2θ from 10° to 80°, low angle first)
- 2θ = 16.75°, rel. 13.6
- 2θ = 28.72°, rel. 14.6
- 2θ = 33.87°, rel. 28.0
- 2θ = 34.70°, rel. 24.3
- 2θ = 35.73°, rel. 100.0
- 2θ = 36.44°, rel. 9.1
- 2θ = 49.27°, rel. 15.7
- 2θ = 61.81°, rel. 15.9
- 2θ = 62.86°, rel. 14.1
- 2θ = 75.70°, rel. 10.1

Structural model:
```
data_Er3MgCd3
_space_group_name_H-M_alt 'P 1'
_space_group_IT_number 1
_cell_length_a 7.3996
_cell_length_b 7.3996
_cell_length_c 6.8502
_cell_angle_alpha 90.03
_cell_angle_beta 90.03
_cell_angle_gamma 91.35
loop_
_space_group_symop_operation_xyz
'x,y,z'
loop_
_atom_site_label
_atom_site_type_symbol
_atom_site_fract_x
_atom_site_fract_y
_atom_site_fract_z
Er1 Er 0.0007 0.0007 0.2492
Er2 Er 0.0009 0.4990 0.7496
Er3 Er 0.4990 0.0009 0.7496
Er4 Er 0.5010 0.9991 0.2504
Er5 Er 0.9991 0.5010 0.2504
Er6 Er 0.9993 0.9993 0.7508
Mg1 Mg 0.3284 0.3284 0.0025
Mg2 Mg 0.6716 0.6716 0.9975
Cd1 Cd 0.2613 0.7387 0.0000
Cd2 Cd 0.2859 0.2859 0.4987
Cd3 Cd 0.2866 0.7134 0.5000
Cd4 Cd 0.7134 0.2866 0.5000
Cd5 Cd 0.7141 0.7141 0.5013
Cd6 Cd 0.7387 0.2613 0.0000
```

Theoretical powder diffraction line list
Compound: ErMg4Cd5
Radiation: copper Kα
Structure: a structure optimized by DFT (PBE)
Kinematic intensities with the Lorentz-polarization factor, no thermal factor.

Peak list (10 most intense, 2θ from 10° to 80°, low angle first)
- 2θ = 24.64°, rel. 19.6
- 2θ = 25.19°, rel. 9.8
- 2θ = 26.79°, rel. 9.2
- 2θ = 29.27°, rel. 9.0
- 2θ = 32.45°, rel. 11.2
- 2θ = 35.12°, rel. 59.0
- 2θ = 36.18°, rel. 100.0
- 2θ = 50.52°, rel. 20.4
- 2θ = 63.70°, rel. 36.4
- 2θ = 65.75°, rel. 12.8

Structural model:
```
data_ErMg4Cd5
_space_group_name_H-M_alt 'P 1'
_space_group_IT_number 1
_cell_length_a 3.6133
_cell_length_b 3.6133
_cell_length_c 17.0865
_cell_angle_alpha 90.00
_cell_angle_beta 90.00
_cell_angle_gamma 90.00
loop_
_space_group_symop_operation_xyz
'x,y,z'
loop_
_atom_site_label
_atom_site_type_symbol
_atom_site_fract_x
_atom_site_fract_y
_atom_site_fract_z
Er1 Er 0.0000 0.0000 0.0000
Mg1 Mg 0.0000 0.0000 0.2107
Mg2 Mg 0.0000 0.0000 0.4035
Mg3 Mg 0.0000 0.0000 0.5965
Mg4 Mg 0.0000 0.0000 0.7893
Cd1 Cd 0.5000 0.5000 0.1149
Cd2 Cd 0.5000 0.5000 0.3075
Cd3 Cd 0.5000 0.5000 0.5000
Cd4 Cd 0.5000 0.5000 0.6925
Cd5 Cd 0.5000 0.5000 0.8851
```

Theoretical powder diffraction line list
Compound: Er3Mg6Cd2
Radiation: copper Kα
Structure: a structure optimized by DFT (PBE)
Kinematic intensities with the Lorentz-polarization factor, no thermal factor.

Peak list (10 most intense, 2θ from 10° to 80°, low angle first)
- 2θ = 10.50°, rel. 32.5
- 2θ = 15.78°, rel. 80.7
- 2θ = 25.14°, rel. 65.4
- 2θ = 30.35°, rel. 65.6
- 2θ = 34.39°, rel. 100.0
- 2θ = 36.41°, rel. 70.8
- 2θ = 43.46°, rel. 41.8
- 2θ = 46.51°, rel. 21.6
- 2θ = 57.95°, rel. 36.2
- 2θ = 73.92°, rel. 26.4

Structural model:
```
data_Er3Mg6Cd2
_space_group_name_H-M_alt 'P 1'
_space_group_IT_number 1
_cell_length_a 17.1059
_cell_length_b 17.1059
_cell_length_c 17.1059
_cell_angle_alpha 166.02
_cell_angle_beta 166.02
_cell_angle_gamma 19.83
loop_
_space_group_symop_operation_xyz
'x,y,z'
loop_
_atom_site_label
_atom_site_type_symbol
_atom_site_fract_x
_atom_site_fract_y
_atom_site_fract_z
Er1 Er 0.0000 0.0000 0.0000
Er2 Er 0.1684 0.1684 0.0000
Er3 Er 0.8316 0.8316 0.0000
Mg1 Mg 0.0788 0.5788 0.5000
Mg2 Mg 0.2713 0.2713 0.0000
Mg3 Mg 0.4212 0.9212 0.5000
Mg4 Mg 0.5788 0.0788 0.5000
Mg5 Mg 0.7287 0.7287 0.0000
Mg6 Mg 0.9212 0.4212 0.5000
Cd1 Cd 0.3587 0.3587 0.0000
Cd2 Cd 0.6413 0.6413 0.0000
```

Theoretical powder diffraction line list
Compound: Er2Mg3Cd4
Radiation: copper Kα
Structure: a structure optimized by DFT (PBE)
Kinematic intensities with the Lorentz-polarization factor, no thermal factor.

Peak list (10 most intense, 2θ from 10° to 80°, low angle first)
- 2θ = 10.25°, rel. 38.2
- 2θ = 20.59°, rel. 44.1
- 2θ = 30.62°, rel. 64.7
- 2θ = 31.72°, rel. 90.9
- 2θ = 32.90°, rel. 87.3
- 2θ = 34.69°, rel. 70.7
- 2θ = 36.69°, rel. 100.0
- 2θ = 37.65°, rel. 41.4
- 2θ = 38.33°, rel. 31.3
- 2θ = 63.75°, rel. 42.1

Structural model:
```
data_Er2Mg3Cd4
_space_group_name_H-M_alt 'P 1'
_space_group_IT_number 1
_cell_length_a 9.1573
_cell_length_b 9.1573
_cell_length_c 8.1309
_cell_angle_alpha 90.00
_cell_angle_beta 90.00
_cell_angle_gamma 140.87
loop_
_space_group_symop_operation_xyz
'x,y,z'
loop_
_atom_site_label
_atom_site_type_symbol
_atom_site_fract_x
_atom_site_fract_y
_atom_site_fract_z
Er1 Er 0.0938 0.9062 0.8947
Er2 Er 0.4062 0.5938 0.3947
Er3 Er 0.5938 0.4062 0.6053
Er4 Er 0.9062 0.0938 0.1053
Mg1 Mg 0.0000 0.0000 0.5000
Mg2 Mg 0.0103 0.4897 0.7500
Mg3 Mg 0.4897 0.0103 0.2500
Mg4 Mg 0.5000 0.5000 0.0000
Mg5 Mg 0.5103 0.9897 0.7500
Mg6 Mg 0.9897 0.5103 0.2500
Cd1 Cd 0.1654 0.8346 0.5225
Cd2 Cd 0.1809 0.3191 0.7500
Cd3 Cd 0.3191 0.1809 0.2500
Cd4 Cd 0.3346 0.6654 0.0225
Cd5 Cd 0.6654 0.3346 0.9775
Cd6 Cd 0.6809 0.8191 0.7500
Cd7 Cd 0.8191 0.6809 0.2500
Cd8 Cd 0.8346 0.1654 0.4775
```

Theoretical powder diffraction line list
Compound: ErMg2Cd6
Radiation: copper Kα
Structure: a structure optimized by DFT (PBE)
Kinematic intensities with the Lorentz-polarization factor, no thermal factor.

Peak list (10 most intense, 2θ from 10° to 80°, low angle first)
- 2θ = 23.55°, rel. 20.9
- 2θ = 33.68°, rel. 15.4
- 2θ = 35.69°, rel. 100.0
- 2θ = 36.18°, rel. 55.1
- 2θ = 38.21°, rel. 32.0
- 2θ = 53.24°, rel. 22.1
- 2θ = 64.05°, rel. 11.5
- 2θ = 64.35°, rel. 9.7
- 2θ = 68.02°, rel. 10.0
- 2θ = 73.83°, rel. 9.1

Structural model:
```
data_ErMg2Cd6
_space_group_name_H-M_alt 'P 1'
_space_group_IT_number 1
_cell_length_a 9.4219
_cell_length_b 9.4219
_cell_length_c 5.0399
_cell_angle_alpha 90.00
_cell_angle_beta 90.00
_cell_angle_gamma 74.56
loop_
_space_group_symop_operation_xyz
'x,y,z'
loop_
_atom_site_label
_atom_site_type_symbol
_atom_site_fract_x
_atom_site_fract_y
_atom_site_fract_z
Er1 Er 0.1887 0.8113 0.7500
Er2 Er 0.8113 0.1887 0.2500
Mg1 Mg 0.2659 0.4216 0.7500
Mg2 Mg 0.4216 0.2659 0.2500
Mg3 Mg 0.5784 0.7341 0.7500
Mg4 Mg 0.7341 0.5784 0.2500
Cd1 Cd 0.0377 0.1712 0.7500
Cd2 Cd 0.0510 0.3700 0.2500
Cd3 Cd 0.1712 0.0377 0.2500
Cd4 Cd 0.2297 0.5798 0.2500
Cd5 Cd 0.3700 0.0510 0.7500
Cd6 Cd 0.4202 0.7703 0.2500
Cd7 Cd 0.5798 0.2297 0.7500
Cd8 Cd 0.6300 0.9490 0.2500
Cd9 Cd 0.7703 0.4202 0.7500
Cd10 Cd 0.8288 0.9623 0.7500
Cd11 Cd 0.9490 0.6300 0.7500
Cd12 Cd 0.9623 0.8288 0.2500
```